For Mg6HgIr2, a crystal structure in Alexandria, relaxed with PBE gives the simulated powder X-ray diffraction pattern in this record (Cu Kα, 1.54184 Å).
Lines closer than 0.1° are merged.

Structure:
a b c (Å): 4.592 4.592 9.001
angles (deg): 90.00 90.00 120.00
Fractional positions:
Mg 0.000 0.000 0.193
Mg 0.000 0.000 0.807
Mg 0.333 0.667 0.065
Mg 0.333 0.667 0.388
Mg 0.667 0.333 0.612
Mg 0.667 0.333 0.935
Hg 0.000 0.000 0.500
Ir 0.333 0.667 0.765
Ir 0.667 0.333 0.235

Most intense lines, 2θ from 5° to 70°, most intense first:
Position (°2θ)	I_rel	index
24.47	100	0 1 1
39.24	67	1 1 0
37.55	57	1 0 3
29.99	56	1 0 2
57.33	22	1 1 4
9.83	19	0 0 1
55.44	18	0 2 3
46.79	18	2 0 1
62.67	16	1 2 1
50.16	14	0 2 2